[1]
The following is a theoretical powder diffraction line list of HoTmAlNi. It was derived from the PBE geometry in Alexandria, using a wavelength of 1.5418 Å.

Most intense lines, 10° ≤ 2θ ≤ 90°, sorted by position:
22.13°, intensity 2
25.60°, intensity 39
36.52°, intensity 100
45.14°, intensity 12
52.61°, intensity 17
59.40°, intensity 16
65.74°, intensity 35
77.62°, intensity 11
83.32°, intensity 8
88.96°, intensity 16

Structural model:
Lattice parameters (Å, degrees): 6.9585 6.9585 6.9585 90.00 90.00 90.00
Sites, in units of the cell vectors:
Ho (0.0000, 0.0000, 0.0000)
Ho (0.0000, 0.5000, 0.5000)
Ho (0.5000, 0.0000, 0.5000)
Ho (0.5000, 0.5000, 0.0000)
Tm (0.0000, 0.0000, 0.5000)
Tm (0.0000, 0.5000, 0.0000)
Tm (0.5000, 0.0000, 0.0000)
Tm (0.5000, 0.5000, 0.5000)
Al (0.2500, 0.2500, 0.7500)
Al (0.2500, 0.7500, 0.2500)
Al (0.7500, 0.2500, 0.2500)
Al (0.7500, 0.7500, 0.7500)
Ni (0.2500, 0.2500, 0.2500)
Ni (0.2500, 0.7500, 0.7500)
Ni (0.7500, 0.2500, 0.7500)
Ni (0.7500, 0.7500, 0.2500)


[2]
The following is a theoretical powder diffraction line list of Ho2NpAl9. It was derived from the PBE geometry in Alexandria, using a wavelength of 1.5418 Å.

Most intense lines, 10° ≤ 2θ ≤ 90°, sorted by position:
18.89°, intensity 100
20.17°, intensity 27
30.19°, intensity 86
32.48°, intensity 83
32.99°, intensity 58
37.84°, intensity 44
38.54°, intensity 90
56.53°, intensity 31
58.27°, intensity 22
62.01°, intensity 23

Structural model:
Lattice parameters (Å, degrees): 9.3610 9.3610 9.3610 34.25 34.25 34.25
Sites, in units of the cell vectors:
Ho (0.1403, 0.1403, 0.1403)
Ho (0.8597, 0.8597, 0.8597)
Np (0.0000, 0.0000, 0.0000)
Al (0.0775, 0.5861, 0.5861)
Al (0.3347, 0.3347, 0.3347)
Al (0.4139, 0.4139, 0.9225)
Al (0.4139, 0.9225, 0.4139)
Al (0.5000, 0.5000, 0.5000)
Al (0.5861, 0.0775, 0.5861)
Al (0.5861, 0.5861, 0.0775)
Al (0.6653, 0.6653, 0.6653)
Al (0.9225, 0.4139, 0.4139)


[3]
The following is a theoretical powder diffraction line list of HoNpAl. It was derived from the PBE geometry in Alexandria, using a wavelength of 1.5418 Å.

Most intense lines, 10° ≤ 2θ ≤ 90°, sorted by position:
11.54°, intensity 94
19.61°, intensity 51
27.69°, intensity 28
31.43°, intensity 36
34.01°, intensity 100
35.11°, intensity 56
37.21°, intensity 87
44.18°, intensity 29
44.31°, intensity 30
61.40°, intensity 26

Structural model:
Lattice parameters (Å, degrees): 5.0794 3.5504 7.7577 90.00 98.71 90.00
Sites, in units of the cell vectors:
Ho (0.0384, 0.2500, 0.1825)
Ho (0.9616, 0.7500, 0.8175)
Np (0.3418, 0.7500, 0.5138)
Np (0.6582, 0.2500, 0.4862)
Al (0.4756, 0.2500, 0.8586)
Al (0.5244, 0.7500, 0.1414)


[4]
The following is a theoretical powder diffraction line list of Ho2AlO4. It was derived from the PBE geometry in Alexandria, using a wavelength of 1.5418 Å.

Most intense lines, 10° ≤ 2θ ≤ 90°, sorted by position:
19.07°, intensity 87
29.79°, intensity 68
31.89°, intensity 54
33.31°, intensity 100
35.94°, intensity 42
38.03°, intensity 29
43.02°, intensity 83
44.92°, intensity 38
50.33°, intensity 39
55.17°, intensity 34

Structural model:
Lattice parameters (Å, degrees): 10.0206 3.0089 6.0631 90.00 118.36 90.00
Sites, in units of the cell vectors:
Ho (0.1567, 0.0000, 0.1933)
Ho (0.3433, 0.5000, 0.8067)
Ho (0.6567, 0.5000, 0.1933)
Ho (0.8433, 0.0000, 0.8067)
Al (0.0000, 0.5000, 0.5000)
Al (0.5000, 0.0000, 0.5000)
O (0.0483, 0.5000, 0.8415)
O (0.1464, 0.0000, 0.5642)
O (0.3536, 0.5000, 0.4358)
O (0.4517, 0.0000, 0.1585)
O (0.5483, 0.0000, 0.8415)
O (0.6464, 0.5000, 0.5642)
O (0.8536, 0.0000, 0.4358)
O (0.9517, 0.5000, 0.1585)


[5]
The following is a theoretical powder diffraction line list of HoAlO. It was derived from the PBE geometry in Alexandria, using a wavelength of 1.5418 Å.

Most intense lines, 10° ≤ 2θ ≤ 90°, sorted by position:
15.33°, intensity 100
30.94°, intensity 27
33.83°, intensity 54
34.36°, intensity 26
37.33°, intensity 73
37.82°, intensity 34
41.35°, intensity 22
46.49°, intensity 36
46.90°, intensity 17
66.73°, intensity 16

Structural model:
Lattice parameters (Å, degrees): 11.5622 3.0756 5.2200 90.00 90.00 90.00
Sites, in units of the cell vectors:
Ho (0.2254, 0.0000, 0.0000)
Ho (0.2254, 0.5000, 0.5000)
Ho (0.7746, 0.0000, 0.0000)
Ho (0.7746, 0.5000, 0.5000)
Al (0.0000, 0.0000, 0.3405)
Al (0.0000, 0.5000, 0.8405)
Al (0.5000, 0.0000, 0.0252)
Al (0.5000, 0.5000, 0.5252)
O (0.3981, 0.0000, 0.3389)
O (0.3981, 0.5000, 0.8389)
O (0.6019, 0.0000, 0.3389)
O (0.6019, 0.5000, 0.8389)


[6]
The following is a theoretical powder diffraction line list of Ho4Al2O9. It was derived from the PBE geometry in Alexandria, using a wavelength of 1.5418 Å.

Most intense lines, 10° ≤ 2θ ≤ 90°, sorted by position:
11.85°, intensity 26
18.72°, intensity 33
26.56°, intensity 20
29.62°, intensity 100
30.46°, intensity 72
30.60°, intensity 24
49.46°, intensity 16
49.63°, intensity 18
50.02°, intensity 22
58.86°, intensity 19

Structural model:
Lattice parameters (Å, degrees): 7.3725 10.4916 11.1971 90.00 108.37 90.00
Sites, in units of the cell vectors:
Ho (0.0219, 0.0971, 0.3048)
Ho (0.0219, 0.4029, 0.8048)
Ho (0.1618, 0.6216, 0.5840)
Ho (0.1618, 0.8784, 0.0840)
Ho (0.3404, 0.1264, 0.9387)
Ho (0.3404, 0.3736, 0.4387)
Ho (0.4777, 0.6105, 0.2157)
Ho (0.4777, 0.8895, 0.7157)
Ho (0.5223, 0.1105, 0.2843)
Ho (0.5223, 0.3895, 0.7843)
Ho (0.6596, 0.6264, 0.5613)
Ho (0.6596, 0.8736, 0.0613)
Ho (0.8382, 0.1216, 0.9160)
Ho (0.8382, 0.3784, 0.4160)
Ho (0.9781, 0.5971, 0.1952)
Ho (0.9781, 0.9029, 0.6952)
Al (0.2163, 0.1781, 0.6276)
Al (0.2163, 0.3219, 0.1276)
Al (0.3459, 0.6757, 0.8870)
Al (0.3459, 0.8243, 0.3870)
Al (0.6541, 0.1757, 0.6130)
Al (0.6541, 0.3243, 0.1130)
Al (0.7837, 0.6781, 0.8724)
Al (0.7837, 0.8219, 0.3724)
O (0.0711, 0.2331, 0.4806)
O (0.0711, 0.2669, 0.9806)
O (0.0779, 0.5063, 0.3935)
O (0.0779, 0.9937, 0.8935)
O (0.2089, 0.7393, 0.2528)
O (0.2089, 0.7607, 0.7528)
O (0.2128, 0.0144, 0.6539)
O (0.2128, 0.4856, 0.1539)
O (0.2304, 0.2407, 0.2693)
O (0.2304, 0.2593, 0.7693)
O (0.3056, 0.5152, 0.8406)
O (0.3056, 0.9848, 0.3406)
O (0.3626, 0.7304, 0.0389)
O (0.3626, 0.7696, 0.5389)
O (0.4329, 0.2407, 0.6155)
O (0.4329, 0.2593, 0.1155)
O (0.4360, 0.5083, 0.6079)
O (0.4360, 0.9917, 0.1079)
O (0.5640, 0.0083, 0.8921)
O (0.5640, 0.4917, 0.3921)
O (0.5671, 0.7407, 0.8845)
O (0.5671, 0.7593, 0.3845)
O (0.6374, 0.2304, 0.4611)
O (0.6374, 0.2696, 0.9611)
O (0.6944, 0.0152, 0.6594)
O (0.6944, 0.4848, 0.1594)
O (0.7696, 0.7407, 0.2307)
O (0.7696, 0.7593, 0.7307)
O (0.7872, 0.5144, 0.8461)
O (0.7872, 0.9856, 0.3461)
O (0.7911, 0.2393, 0.2472)
O (0.7911, 0.2607, 0.7472)
O (0.9221, 0.0063, 0.1065)
O (0.9221, 0.4937, 0.6065)
O (0.9289, 0.7331, 0.0194)
O (0.9289, 0.7669, 0.5194)


[7]
The following is a theoretical powder diffraction line list of Rb3HoAl2O6. It was derived from the PBE geometry in Alexandria, using a wavelength of 1.5418 Å.

Most intense lines, 10° ≤ 2θ ≤ 90°, sorted by position:
12.04°, intensity 20
16.80°, intensity 35
20.72°, intensity 20
29.32°, intensity 82
29.61°, intensity 100
36.18°, intensity 18
42.16°, intensity 47
52.18°, intensity 39
58.66°, intensity 21
69.09°, intensity 18

Structural model:
Lattice parameters (Å, degrees): 6.0919 6.0919 7.3535 90.00 90.00 120.00
Sites, in units of the cell vectors:
Rb (0.0000, 0.0000, 0.0000)
Rb (0.3333, 0.6667, 0.7517)
Rb (0.6667, 0.3333, 0.2483)
Ho (0.0000, 0.0000, 0.5000)
Al (0.3333, 0.6667, 0.3088)
Al (0.6667, 0.3333, 0.6912)
O (0.1712, 0.3424, 0.3084)
O (0.1712, 0.8288, 0.3084)
O (0.3424, 0.1712, 0.6916)
O (0.6576, 0.8288, 0.3084)
O (0.8288, 0.1712, 0.6916)
O (0.8288, 0.6576, 0.6916)


[8]
The following is a theoretical powder diffraction line list of HoAlRhO4. It was derived from the PBE geometry in Alexandria, using a wavelength of 1.5418 Å.

Most intense lines, 10° ≤ 2θ ≤ 90°, sorted by position:
18.27°, intensity 58
22.27°, intensity 32
30.38°, intensity 57
31.48°, intensity 100
32.98°, intensity 40
34.82°, intensity 62
45.45°, intensity 59
54.68°, intensity 21
62.17°, intensity 19
64.29°, intensity 20

Structural model:
Lattice parameters (Å, degrees): 5.2090 5.2090 7.0088 90.00 90.00 111.23
Sites, in units of the cell vectors:
Ho (0.0000, 0.0000, 0.0000)
Ho (0.0000, 0.0000, 0.5000)
Al (0.3709, 0.6291, 0.7500)
Al (0.6291, 0.3709, 0.2500)
Rh (0.2884, 0.7116, 0.2500)
Rh (0.7116, 0.2884, 0.7500)
O (0.2438, 0.2602, 0.7500)
O (0.2602, 0.2438, 0.2500)
O (0.2614, 0.7386, 0.5370)
O (0.2614, 0.7386, 0.9630)
O (0.7386, 0.2614, 0.0370)
O (0.7386, 0.2614, 0.4630)
O (0.7398, 0.7562, 0.7500)
O (0.7562, 0.7398, 0.2500)


[9]
The following is a theoretical powder diffraction line list of Sm12HoAl4O3. It was derived from the PBE geometry in Alexandria, using a wavelength of 1.5418 Å.

Most intense lines, 10° ≤ 2θ ≤ 90°, sorted by position:
17.59°, intensity 55
30.71°, intensity 100
35.60°, intensity 79
39.98°, intensity 24
51.24°, intensity 53
54.59°, intensity 12
60.93°, intensity 38
63.95°, intensity 17
83.57°, intensity 14
86.26°, intensity 21

Structural model:
Lattice parameters (Å, degrees): 8.7349 8.7349 8.7349 109.47 109.47 109.47
Sites, in units of the cell vectors:
Sm (0.0000, 0.2743, 0.2743)
Sm (0.0000, 0.7257, 0.7257)
Sm (0.2500, 0.5000, 0.7500)
Sm (0.2500, 0.7500, 0.5000)
Sm (0.2743, 0.0000, 0.2743)
Sm (0.2743, 0.2743, 0.0000)
Sm (0.5000, 0.2500, 0.7500)
Sm (0.5000, 0.7500, 0.2500)
Sm (0.7257, 0.0000, 0.7257)
Sm (0.7257, 0.7257, 0.0000)
Sm (0.7500, 0.2500, 0.5000)
Sm (0.7500, 0.5000, 0.2500)
Ho (0.0000, 0.0000, 0.0000)
Al (0.0000, 0.0000, 0.5000)
Al (0.0000, 0.5000, 0.0000)
Al (0.5000, 0.0000, 0.0000)
Al (0.5000, 0.5000, 0.5000)
O (0.0000, 0.5000, 0.5000)
O (0.5000, 0.0000, 0.5000)
O (0.5000, 0.5000, 0.0000)